Simulated XRD peak list
Compound: V2CoH8O10
Radiation: Cu Kα (weighted mean of Kα1 and Kα2)
Structure: DFT lattice parameters and positions (GGA+U)

Crystal structure
Unit cell a=8.388 b=8.388 c=7.117 alpha=106.10 beta=106.10 gamma=72.17
Positions (direct):
V  0.084  0.121  0.190
V  0.121  0.084  0.690
V  0.879  0.916  0.310
V  0.916  0.879  0.810
Co  0.000  0.500  0.000
Co  0.500  0.000  0.500
H  0.148  0.434  0.425
H  0.168  0.559  0.634
H  0.267  0.539  0.285
H  0.342  0.405  0.102
H  0.405  0.342  0.602
H  0.434  0.148  0.925
H  0.441  0.832  0.866
H  0.461  0.733  0.215
H  0.539  0.267  0.785
H  0.559  0.168  0.134
H  0.566  0.852  0.075
H  0.595  0.658  0.398
H  0.658  0.595  0.898
H  0.733  0.461  0.715
H  0.832  0.441  0.366
H  0.852  0.566  0.575
O  0.007  0.335  0.198
O  0.022  0.092  0.416
O  0.084  0.295  0.790
O  0.092  0.022  0.916
O  0.231  0.491  0.528
O  0.250  0.510  0.138
O  0.295  0.084  0.290
O  0.335  0.007  0.698
O  0.490  0.750  0.362
O  0.491  0.231  0.028
O  0.509  0.769  0.972
O  0.510  0.250  0.638
O  0.665  0.993  0.302
O  0.705  0.916  0.710
O  0.750  0.490  0.862
O  0.769  0.509  0.472
O  0.908  0.978  0.084
O  0.916  0.705  0.210
O  0.978  0.908  0.584
O  0.993  0.665  0.802

Peak list (10 most intense, 10° ≤ 2θ ≤ 80°, by angle)
d (Å), 2θ (°), intensity
7.807, 11.33, 100
6.367, 13.91, 13
5.705, 15.53, 18
4.620, 19.21, 16
3.903, 22.78, 32
3.187, 27.99, 26
3.059, 29.20, 29
2.862, 31.25, 14
2.768, 32.34, 12
2.676, 33.49, 14